Structure and simulated X-ray diffraction stick pattern of AsAuClO (a DFT-relaxed cell (GGA-PBE, Alexandria); Cu Kα X-rays).
Intensities are scaled so that the largest is 100.

Largest 10 diffraction maxima, sorted by position, 2θ from 10° to 90°:
Position (°2θ)  Rel. int.  index
11.23  100  0 0 1
24.93  33  0 1 1
29.54  22  1 0 0
31.64  11  1 0 -1
31.75  10  1 0 1
31.85  23  0 1 2
39.03  15  1 1 -1
41.08  17  0 1 3
51.30  10  1 1 -3
51.52  10  1 1 3

Crystal structure
Lattice parameters (Å, degrees): 3.0236 4.0067 7.8824 90.00 90.28 90.00
Space group Pm (No. 6)
One atom of each set of equivalent atoms:
As (0.0000, 0.0000, 0.0000)
Au (0.9957, 0.5000, 0.8073)
Cl (0.9848, 0.5000, 0.5103)
O (0.5018, 0.0000, 0.1374)